No. 1
The following is a theoretical powder diffractogram of CoRuS4. It was derived from DFT lattice parameters and positions (PBE), using copper Kα.

Top 10 peaks for 5 to 70 degrees two-theta, sorted by position:
- d 3.240, I 48
- d 3.220, I 44
- d 2.804, I 100
- d 2.784, I 49
- d 2.495, I 30
- d 1.984, I 43
- d 1.975, I 28
- d 1.695, I 25
- d 1.689, I 49
- d 1.686, I 48

Atomic structure:
```
data_CoRuS4
_cell_length_a 5.569
_cell_length_b 5.602
_cell_length_c 5.614
_cell_angle_alpha 90.00
_cell_angle_beta 90.52
_cell_angle_gamma 90.00
_symmetry_space_group_name_H-M 'P 1 21/c 1'
_symmetry_Int_Tables_number 14
_symmetry_space_group_name_Hall '-P 2ybc'
loop_
_atom_site_label
_atom_site_type_symbol
_atom_site_fract_x
_atom_site_fract_y
_atom_site_fract_z
_atom_site_occupancy
Co1 Co 0.000 0.000 0.000 1
Ru1 Ru 0.500 0.000 0.500 1
S1 S 0.108 0.114 0.612 1
S2 S 0.383 0.611 0.611 1
```

No. 2
The following is a theoretical powder diffractogram of NbTlCl6. It was derived from DFT lattice parameters and positions (PBE), using copper Kα.

Top 10 peaks for 5 to 70 degrees two-theta, sorted by position:
- d 5.714, I 37
- d 4.997, I 100
- d 4.820, I 67
- d 3.921, I 42
- d 3.485, I 39
- d 3.454, I 30
- d 2.843, I 66
- d 2.815, I 48
- d 2.789, I 47
- d 2.178, I 32

Atomic structure:
```
data_NbTlCl6
_cell_length_a 12.344
_cell_length_b 6.484
_cell_length_c 12.513
_cell_angle_alpha 90.00
_cell_angle_beta 101.75
_cell_angle_gamma 90.00
_symmetry_space_group_name_H-M 'C 1 2/c 1'
_symmetry_Int_Tables_number 15
_symmetry_space_group_name_Hall '-C 2yc'
loop_
_atom_site_label
_atom_site_type_symbol
_atom_site_fract_x
_atom_site_fract_y
_atom_site_fract_z
_atom_site_occupancy
Nb1 Nb 0.250 0.250 0.000 1
Tl1 Tl 0.000 0.119 0.250 1
Cl1 Cl 0.081 0.382 0.896 1
Cl2 Cl 0.155 0.050 0.540 1
Cl3 Cl 0.214 0.416 0.159 1
```